Record 1
Structure and calculated powder XRD pattern of Er2Ni12P3Pt (DFT lattice parameters and positions (GGA-PBE); a wavelength of 1.5418 Å).
Peak positions follow from Bragg's law for the DFT cell and can differ from measured ones.

Top 12 peaks for 2θ = 5–70°, in order of falling intensity:
| h k l | d (Å) | intensity |
| --- | --- | --- |
| 2 2 0 | 1.905 | 100 |
| 0 2 4 | 2.576 | 78 |
| 0 1 5 | 2.951 | 60 |
| 1 1 3 | 3.132 | 59 |
| 2 0 8 | 1.749 | 53 |
| 1 2 2 | 2.387 | 43 |
| 1 0 10 | 1.600 | 33 |
| 2 0 5 | 2.333 | 31 |
| 1 2 5 | 1.990 | 28 |
| 0 1 2 | 5.153 | 27 |
| 2 3 5 | 1.376 | 24 |
| 1 1 0 | 3.810 | 22 |

Lattice parameters (Å, degrees): 7.6198 7.6198 16.4960 90.00 90.00 120.00
Space group R-3m (No. 166, hexagonal axes)
Unique sites:
1 Er 0.0000 0.0000 0.1038 [6 per cell]
2 Ni 0.0176 0.5088 0.8721 [18 per cell]
3 Ni 0.0338 0.5169 0.3617 [18 per cell]
4 P 0.0000 0.5000 0.0000 [9 per cell]
5 Pt 0.0000 0.0000 0.5000 [3 per cell]

Record 2
Structure and calculated powder XRD pattern of SmErNi2P2 (DFT lattice parameters and positions (GGA-PBE); a wavelength of 1.5418 Å).
Peak positions follow from Bragg's law for the DFT cell and can differ from measured ones.

Top 12 peaks for 2θ = 5–70°, in order of falling intensity:
| h k l | d (Å) | intensity |
| --- | --- | --- |
| 0 1 2 | 2.558 | 100 |
| 1 1 0 | 1.950 | 34 |
| 1 0 0 | 3.378 | 29 |
| 2 0 2 | 1.551 | 21 |
| 1 1 4 | 1.382 | 21 |
| 0 0 4 | 1.959 | 11 |
| 1 0 4 | 1.695 | 9 |
| 2 0 0 | 1.689 | 4 |
| 0 0 2 | 3.918 | 4 |
| 0 1 1 | 3.102 | 4 |
| 1 1 2 | 1.746 | 3 |
| 1 0 3 | 2.066 | 1 |

Lattice parameters (Å, degrees): 3.9003 3.9003 7.8369 90.00 90.00 120.00
Space group P-3m1 (No. 164)
Unique sites:
1 Sm 0.0000 0.0000 0.0000 [1 per cell]
2 Er 0.0000 0.0000 0.5000 [1 per cell]
3 Ni 0.3333 0.6667 0.7430 [2 per cell]
4 P 0.3333 0.6667 0.2582 [2 per cell]

Record 3
Structure and calculated powder XRD pattern of ErPaNi6 (DFT lattice parameters and positions (GGA-PBE); a wavelength of 1.5418 Å).
Peak positions follow from Bragg's law for the DFT cell and can differ from measured ones.

Top 12 peaks for 2θ = 5–70°, in order of falling intensity:
| h k l | d (Å) | intensity |
| --- | --- | --- |
| 1 2 1 | 2.083 | 100 |
| 1 0 2 | 2.173 | 61 |
| 2 0 0 | 2.095 | 39 |
| 1 1 0 | 3.321 | 38 |
| 0 2 1 | 2.400 | 33 |
| 1 1 1 | 2.780 | 28 |
| 0 1 2 | 2.304 | 27 |
| 1 0 1 | 3.233 | 23 |
| 2 2 1 | 1.578 | 18 |
| 2 1 2 | 1.550 | 16 |
| 0 1 1 | 3.716 | 14 |
| 0 2 3 | 1.439 | 13 |

Lattice parameters (Å, degrees): 4.1897 5.4457 5.0845 90.00 90.00 90.00
Space group Pmm2 (No. 25)
Unique sites:
1 Er 0.0000 0.0000 0.0000 [1 per cell]
2 Pa 0.5000 0.5000 0.2831 [1 per cell]
3 Ni 0.0000 0.2376 0.4974 [2 per cell]
4 Ni 0.0000 0.5000 0.9044 [1 per cell]
5 Ni 0.5000 0.0000 0.3868 [1 per cell]
6 Ni 0.5000 0.2750 0.7818 [2 per cell]